Calculated powder diffractogram of LiV4OF11 for Cu Ka, from DFT lattice parameters and positions (GGA+U).
Neutral-atom scattering factors, no anomalous dispersion.

Cell: 5.5683 5.2744 7.4978 Å, 90.00 93.77 90.00°
Sites, in units of the cell vectors:
1 Li 0.0000 0.0000 0.0000
2 V 0.0011 0.5252 0.7600
3 V 0.5000 0.0164 0.2536
4 V 0.5000 0.0164 0.7464
5 V 0.9989 0.5252 0.2400
6 O 0.0000 0.6063 0.0000
7 F 0.0000 0.4251 0.5000
8 F 0.1838 0.1926 0.1855
9 F 0.1909 0.8347 0.7025
10 F 0.3056 0.3104 0.8060
11 F 0.3088 0.7181 0.3049
12 F 0.5000 0.1335 0.5000
13 F 0.5000 0.9072 0.0000
14 F 0.6912 0.7181 0.6951
15 F 0.6944 0.3104 0.1940
16 F 0.8091 0.8347 0.2975
17 F 0.8162 0.1926 0.8145

Main lines, low angle first (10° ≤ 2θ ≤ 80°):
2theta  d [Å]  I/Imax
23.25  3.825  100
23.79  3.741  49
32.72  2.737  19
39.24  2.296  13
39.37  2.289  13
39.99  2.255  12
47.54  1.913  21
52.36  1.747  15
52.76  1.735  13
53.55  1.711  14

Calculated powder diffractogram of LiV4OF11 for Cu Ka, from DFT lattice parameters and positions (GGA+U).
Neutral-atom scattering factors, no anomalous dispersion.

Cell: 5.2450 5.4971 17.2292 Å, 84.29 82.09 61.70°
Sites, in units of the cell vectors:
1 Li 0.0000 0.0000 0.0000
2 Li 0.3593 0.3696 0.8674
3 V 0.0926 0.0056 0.8144
4 V 0.2187 0.1039 0.4361
5 V 0.3745 0.2039 0.0712
6 V 0.4672 0.3593 0.6859
7 V 0.5866 0.4781 0.3112
8 V 0.7370 0.5836 0.9376
9 V 0.8421 0.7308 0.5609
10 V 0.9558 0.8569 0.1850
11 O 0.0304 0.2891 0.8773
12 O 0.7547 0.0009 0.0937
13 F 0.0014 0.8919 0.4722
14 F 0.1803 0.6574 0.7579
15 F 0.1823 0.0616 0.1590
16 F 0.1956 0.6936 0.2777
17 F 0.2398 0.5193 0.5962
18 F 0.2488 0.1475 0.7201
19 F 0.2744 0.5449 0.1185
20 F 0.4054 0.9075 0.9983
21 F 0.4239 0.3204 0.4047
22 F 0.4476 0.9465 0.5296
23 F 0.4997 0.7529 0.8486
24 F 0.5108 0.3644 0.9642
25 F 0.5176 0.7842 0.3771
26 F 0.6539 0.1663 0.2536
27 F 0.6719 0.2000 0.7844
28 F 0.6820 0.5667 0.6549
29 F 0.7568 0.6317 0.2221
30 F 0.7665 0.0368 0.6283
31 F 0.9180 0.4141 0.5027
32 F 0.9523 0.4118 0.0283
33 F 0.9593 0.8164 0.9095
34 F 0.9850 0.2631 0.3473

Main lines, low angle first (10° ≤ 2θ ≤ 80°):
2theta  d [Å]  I/Imax
23.37  3.806  50
23.65  3.762  100
32.56  2.750  10
32.70  2.739  21
39.60  2.276  14
40.07  2.250  13
47.79  1.903  10
48.31  1.884  9
48.46  1.878  9
52.93  1.730  21

Calculated powder diffractogram of Li3V2O4F2 for Cu Ka, from DFT lattice parameters and positions (GGA+U).
Neutral-atom scattering factors, no anomalous dispersion.

Cell: 5.9628 5.9979 15.1785 Å, 84.25 78.84 60.33°
Sites, in units of the cell vectors:
1 Li 0.0000 0.0000 0.0000
2 Li 0.0009 0.4727 0.9951
3 Li 0.1482 0.2951 0.3689
4 Li 0.2786 0.1400 0.7449
5 Li 0.3013 0.6467 0.7306
6 Li 0.4011 0.8214 0.8786
7 Li 0.4412 0.2836 0.8685
8 Li 0.5251 0.4755 0.0002
9 Li 0.6495 0.8031 0.3729
10 Li 0.6608 0.3013 0.3688
11 Li 0.7947 0.6141 0.7520
12 Li 0.8717 0.8586 0.8692
13 V 0.0654 0.6416 0.2118
14 V 0.0734 0.1377 0.2028
15 V 0.2362 0.4784 0.5283
16 V 0.2357 0.9778 0.5336
17 V 0.5666 0.6444 0.2034
18 V 0.5715 0.1409 0.1977
19 V 0.7351 0.4722 0.5427
20 V 0.7404 0.9721 0.5401
21 O 0.0224 0.8139 0.5996
22 O 0.0255 0.3193 0.6007
23 O 0.2462 0.3119 0.1411
24 O 0.2692 0.8108 0.1399
25 O 0.3681 0.9747 0.2765
26 O 0.3834 0.4678 0.2757
27 O 0.4524 0.1339 0.4583
28 O 0.4589 0.6351 0.4647
29 O 0.5310 0.3059 0.6006
30 O 0.5345 0.8100 0.6054
31 O 0.7684 0.7890 0.1411
32 O 0.7743 0.3154 0.1334
33 O 0.8587 0.4668 0.2838
34 O 0.8627 0.9901 0.2748
35 O 0.9197 0.6467 0.4636
36 O 0.9232 0.1572 0.4647
37 F 0.1216 0.4771 0.7793
38 F 0.1247 0.9474 0.7929
39 F 0.1946 0.6516 0.9586
40 F 0.2035 0.1458 0.9508
41 F 0.5735 0.4915 0.7922
42 F 0.5962 0.9619 0.7935
43 F 0.6906 0.1464 0.9557
44 F 0.6970 0.6521 0.9485

Main lines, low angle first (10° ≤ 2θ ≤ 80°):
2theta  d [Å]  I/Imax
11.89  7.446  33
17.87  4.964  100
23.90  3.723  15
30.00  2.978  11
34.94  2.568  15
35.22  2.548  23
42.23  2.140  33
42.60  2.122  64
61.37  1.511  15
62.28  1.491  10

Calculated powder diffractogram of LiV2OF5 for Cu Ka, from DFT lattice parameters and positions (GGA+U).
Neutral-atom scattering factors, no anomalous dispersion.

Cell: 5.5176 5.5176 17.7883 Å, 102.60 102.60 56.54°
Sites, in units of the cell vectors:
1 Li 0.0738 0.0738 0.3844
2 Li 0.4099 0.4351 0.1207
3 Li 0.5649 0.5901 0.8793
4 Li 0.9262 0.9262 0.6156
5 V 0.0329 0.0829 0.1901
6 V 0.1805 0.1757 0.5599
7 V 0.3060 0.3409 0.9407
8 V 0.4516 0.4278 0.3050
9 V 0.5722 0.5484 0.6950
10 V 0.6591 0.6940 0.0593
11 V 0.8243 0.8195 0.4401
12 V 0.9171 0.9671 0.8099
13 O 0.3957 0.6043 0.0000
14 O 0.6593 0.2843 0.2200
15 O 0.7157 0.3407 0.7800
16 O 0.9190 0.0810 0.5000
17 F 0.1365 0.3717 0.2473
18 F 0.1415 0.7800 0.7134
19 F 0.1710 0.5642 0.8473
20 F 0.2103 0.5975 0.3980
21 F 0.2200 0.8585 0.2866
22 F 0.2520 0.0072 0.8759
23 F 0.4025 0.7897 0.6020
24 F 0.4075 0.0268 0.4637
25 F 0.4358 0.8290 0.1527
26 F 0.4571 0.1117 0.0373
27 F 0.5092 0.2387 0.6218
28 F 0.6283 0.8635 0.7527
29 F 0.6801 0.0383 0.3471
30 F 0.6999 0.1087 0.9036
31 F 0.7613 0.4908 0.3782
32 F 0.8883 0.5429 0.9627
33 F 0.8913 0.3001 0.0964
34 F 0.9617 0.3199 0.6529
35 F 0.9732 0.5925 0.5363
36 F 0.9928 0.7480 0.1241

Main lines, low angle first (10° ≤ 2θ ≤ 80°):
2theta  d [Å]  I/Imax
23.37  3.806  100
23.67  3.758  51
32.57  2.749  23
39.43  2.285  16
39.57  2.278  15
47.79  1.903  20
52.44  1.745  16
52.74  1.736  15
53.19  1.722  15
61.52  1.507  14

Calculated powder diffractogram of Li7VO5F for Cu Ka, from DFT lattice parameters and positions (GGA+U).
Neutral-atom scattering factors, no anomalous dispersion.

Cell: 5.5911 5.5957 10.7977 Å, 89.00 88.72 60.39°
Sites, in units of the cell vectors:
1 Li 0.0000 0.0000 0.0000
2 Li 0.0095 0.6679 0.3480
3 Li 0.0225 0.7119 0.7183
4 Li 0.0458 0.3153 0.2196
5 Li 0.2656 0.0670 0.7181
6 Li 0.3040 0.3552 0.0185
7 Li 0.3236 0.3337 0.4987
8 Li 0.3578 0.6865 0.8513
9 Li 0.3594 0.9772 0.3596
10 Li 0.6064 0.4177 0.3474
11 Li 0.6454 0.0730 0.2175
12 Li 0.6632 0.0279 0.8487
13 Li 0.9211 0.3716 0.8568
14 Li 0.9681 0.0299 0.5191
15 V 0.6364 0.6923 0.0854
16 V 0.6615 0.6667 0.5853
17 O 0.0114 0.0030 0.8127
18 O 0.3302 0.3222 0.3117
19 O 0.3371 0.9851 0.5421
20 O 0.3519 0.6674 0.0306
21 O 0.6422 0.3811 0.5279
22 O 0.6481 0.9985 0.0380
23 O 0.6554 0.7107 0.7585
24 O 0.6798 0.6867 0.2587
25 O 0.9571 0.3700 0.0423
26 O 0.9657 0.6857 0.5389
27 F 0.2890 0.3639 0.8089
28 F 0.9691 0.0426 0.3092

Main lines, low angle first (10° ≤ 2θ ≤ 80°):
2theta  d [Å]  I/Imax
18.24  4.863  93
18.36  4.833  60
24.44  3.641  57
24.73  3.601  42
24.84  3.584  42
25.01  3.560  46
32.01  2.796  59
32.91  2.721  54
33.21  2.698  100
56.80  1.621  47

Calculated powder diffractogram of Li2VO2F2 for Cu Ka, from DFT lattice parameters and positions (GGA+U).
Neutral-atom scattering factors, no anomalous dispersion.

Cell: 5.9327 5.9327 5.7675 Å, 118.16 118.16 93.27°
Sites, in units of the cell vectors:
1 Li 0.0000 0.5000 0.0000
2 Li 0.1211 0.8789 0.7500
3 Li 0.5000 0.0000 0.5000
4 Li 0.8789 0.1211 0.2500
5 V 0.5000 0.5000 0.0000
6 V 0.5000 0.5000 0.5000
7 O 0.2801 0.2883 0.0233
8 O 0.2883 0.2801 0.5233
9 O 0.7117 0.7199 0.4767
10 O 0.7199 0.7117 0.9767
11 F 0.2620 0.7288 0.4865
12 F 0.2712 0.7380 0.0135
13 F 0.7288 0.2620 0.9865
14 F 0.7380 0.2712 0.5135

Main lines, low angle first (10° ≤ 2θ ≤ 80°):
2theta  d [Å]  I/Imax
18.18  4.879  100
20.59  4.313  18
30.21  2.958  14
34.69  2.586  13
35.81  2.508  15
41.89  2.157  21
43.20  2.094  20
44.50  2.036  17
61.74  1.502  12
62.78  1.480  16

Calculated powder diffractogram of Li3V2O4F2 for Cu Ka, from DFT lattice parameters and positions (GGA+U).
Neutral-atom scattering factors, no anomalous dispersion.

Cell: 5.9782 5.9782 14.9407 Å, 90.09 90.09 60.22°
Sites, in units of the cell vectors:
1 Li 0.0000 0.0000 0.0000
2 Li 0.1656 0.6974 0.3665
3 Li 0.1675 0.1675 0.3706
4 Li 0.3107 0.8330 0.6172
5 Li 0.3355 0.3355 0.6362
6 Li 0.5054 0.9839 0.9960
7 Li 0.5096 0.5096 0.4878
8 Li 0.5472 0.9728 0.4967
9 Li 0.6974 0.1656 0.3665
10 Li 0.8329 0.3107 0.6172
11 Li 0.9728 0.5472 0.4967
12 Li 0.9839 0.5054 0.9960
13 V 0.1689 0.1689 0.8276
14 V 0.1706 0.6683 0.8358
15 V 0.3322 0.8384 0.1636
16 V 0.3398 0.3398 0.1549
17 V 0.6669 0.6669 0.8270
18 V 0.6683 0.1706 0.8358
19 V 0.8333 0.8333 0.1700
20 V 0.8384 0.3322 0.1636
21 O 0.9997 0.9997 0.2372
22 O 0.0035 0.5037 0.7664
23 O 0.0074 0.5035 0.2256
24 O 0.0102 0.0102 0.7670
25 O 0.1508 0.6878 0.0908
26 O 0.1642 0.1642 0.0859
27 O 0.3259 0.3259 0.9040
28 O 0.3378 0.8461 0.9033
29 O 0.5035 0.0074 0.2256
30 O 0.5037 0.0035 0.7664
31 O 0.5062 0.5062 0.2248
32 O 0.5119 0.5119 0.7646
33 O 0.6763 0.6763 0.0913
34 O 0.6878 0.1508 0.0908
35 O 0.8285 0.8285 0.9078
36 O 0.8461 0.3378 0.9033
37 F 0.1725 0.1725 0.5912
38 F 0.1873 0.6360 0.5720
39 F 0.3441 0.3441 0.4062
40 F 0.3461 0.8415 0.4174
41 F 0.6360 0.1873 0.5720
42 F 0.6562 0.6562 0.5731
43 F 0.8371 0.8371 0.4118
44 F 0.8415 0.3461 0.4174

Main lines, low angle first (10° ≤ 2θ ≤ 80°):
2theta  d [Å]  I/Imax
11.85  7.470  33
17.81  4.980  100
23.82  3.735  15
35.11  2.556  29
35.23  2.548  12
42.40  2.132  68
42.56  2.124  31
55.75  1.649  11
61.16  1.515  23
62.10  1.495  18

Calculated powder diffractogram of Li3V2O4F2 for Cu Ka, from DFT lattice parameters and positions (GGA+U).
Neutral-atom scattering factors, no anomalous dispersion.

Cell: 5.1939 5.9974 14.8029 Å, 90.00 90.05 90.00°
Sites, in units of the cell vectors:
1 Li 0.0000 0.0000 0.0000
2 Li 0.0000 0.0097 0.5000
3 Li 0.0000 0.4943 0.5000
4 Li 0.1556 0.2529 0.1287
5 Li 0.1566 0.7474 0.1301
6 Li 0.3073 0.5016 0.8719
7 Li 0.5000 0.2287 0.0000
8 Li 0.5000 0.7496 0.5000
9 Li 0.5000 0.7731 0.0000
10 Li 0.6927 0.5016 0.1281
11 Li 0.8434 0.7474 0.8699
12 Li 0.8444 0.2529 0.8713
13 V 0.1673 0.7525 0.6723
14 V 0.1683 0.2527 0.6667
15 V 0.3317 0.0000 0.3367
16 V 0.3400 0.4999 0.3351
17 V 0.6600 0.4999 0.6649
18 V 0.6683 0.0000 0.6633
19 V 0.8317 0.2527 0.3333
20 V 0.8327 0.7525 0.3277
21 O 0.0019 0.5143 0.2658
22 O 0.0019 0.9981 0.2675
23 O 0.1546 0.2551 0.4082
24 O 0.1714 0.7391 0.4094
25 O 0.3185 0.9827 0.5944
26 O 0.3293 0.5168 0.5945
27 O 0.4842 0.2667 0.2706
28 O 0.4988 0.7431 0.2678
29 O 0.5012 0.7431 0.7322
30 O 0.5158 0.2667 0.7294
31 O 0.6707 0.5168 0.4055
32 O 0.6815 0.9827 0.4056
33 O 0.8286 0.7391 0.5906
34 O 0.8454 0.2551 0.5918
35 O 0.9981 0.5143 0.7342
36 O 0.9981 0.9981 0.7325
37 F 0.1715 0.2465 0.9183
38 F 0.1709 0.7555 0.9181
39 F 0.3097 0.0006 0.0766
40 F 0.3535 0.4995 0.0907
41 F 0.6465 0.4995 0.9093
42 F 0.6903 0.0006 0.9234
43 F 0.8285 0.2465 0.0817
44 F 0.8291 0.7555 0.0819

Main lines, low angle first (10° ≤ 2θ ≤ 80°):
2theta  d [Å]  I/Imax
11.96  7.401  35
17.98  4.934  97
24.05  3.701  14
35.08  2.558  43
42.53  2.126  100
46.52  1.952  12
56.09  1.640  17
61.54  1.507  24
61.88  1.499  27
65.01  1.435  13